Entry 1:
Structure and simulated XRD peak list of CaNdGa3O7 (a crystal structure in the Materials Project, relaxed with PBE; Cu Kα).
Intensities are scaled so that the largest is 1000.

Structure:
Unit cell a=11.237 b=11.347 c=5.285 alpha=90.00 beta=90.00 gamma=90.00
Space group Cmm2 (No. 35)
Asymmetric unit:
Ca: 0.160 0.000 0.000 (multiplicity 4)
Nd: 0.000 0.337 0.973 (multiplicity 4)
Ga: 0.000 0.143 0.521 (multiplicity 4)
Ga: 0.146 0.500 0.447 (multiplicity 4)
Ga: 0.250 0.250 0.477 (multiplicity 4)
O: 0.000 0.000 0.690 (multiplicity 2)
O: 0.000 0.145 0.177 (multiplicity 4)
O: 0.000 0.500 0.276 (multiplicity 2)
O: 0.124 0.220 0.693 (multiplicity 8)
O: 0.134 0.500 0.791 (multiplicity 4)
O: 0.212 0.374 0.266 (multiplicity 8)

Largest 12 diffraction maxima, low angle first, 2θ = 10–90°:
2θ 11.08, I = 190; 2θ 15.77, I = 196; 2θ 23.10, I = 353; 2θ 28.01, I = 289; 2θ 30.12, I = 1000; 2θ 30.29, I = 680; 2θ 33.92, I = 215; 2θ 35.45, I = 242; 2θ 35.66, I = 215; 2θ 49.88, I = 259; 2θ 50.05, I = 296; 2θ 58.40, I = 238

Entry 2:
Structure and simulated XRD peak list of CaNdGa3O7 (a crystal structure in the Materials Project, relaxed with PBE; Cu Kα).
Intensities are scaled so that the largest is 1000.

Structure:
Unit cell a=5.293 b=7.975 c=7.995 alpha=90.00 beta=90.28 gamma=90.00
Space group P2_1 (No. 4)
Asymmetric unit:
Ca: 0.014 0.000 0.420 (multiplicity 2)
Nd: 0.014 0.322 0.095 (multiplicity 2)
Ga: 0.463 0.807 0.605 (multiplicity 2)
Ga: 0.465 0.519 0.893 (multiplicity 2)
Ga: 0.500 0.162 0.751 (multiplicity 2)
O: 0.191 0.027 0.100 (multiplicity 2)
O: 0.194 0.305 0.379 (multiplicity 2)
O: 0.282 0.000 0.668 (multiplicity 2)
O: 0.282 0.575 0.088 (multiplicity 2)
O: 0.293 0.319 0.853 (multiplicity 2)
O: 0.294 0.760 0.406 (multiplicity 2)
O: 0.295 0.658 0.747 (multiplicity 2)

Largest 12 diffraction maxima, low angle first, 2θ = 10–90°:
2θ 11.07, I = 276; 2θ 15.70, I = 155; 2θ 20.14, I = 155; 2θ 23.05, I = 351; 2θ 28.02, I = 292; 2θ 30.15, I = 1000; 2θ 30.24, I = 941; 2θ 33.87, I = 243; 2θ 35.55, I = 549; 2θ 49.95, I = 283; 2θ 50.02, I = 223; 2θ 65.41, I = 216

Entry 3:
Structure and simulated XRD peak list of Ca3Ga4O9 (a crystal structure in the Materials Project, relaxed with PBE; Cu Kα).
Intensities are scaled so that the largest is 1000.

Structure:
Unit cell a=14.513 b=16.994 c=5.373 alpha=90.00 beta=90.00 gamma=90.00
Space group Cmm2 (No. 35)
Asymmetric unit:
Ca: 0.000 0.000 0.000 (multiplicity 2)
Ca: 0.000 0.402 0.906 (multiplicity 4)
Ca: 0.129 0.209 0.966 (multiplicity 8)
Ca: 0.240 0.000 0.952 (multiplicity 4)
Ga: 0.000 0.262 0.470 (multiplicity 4)
Ga: 0.109 0.094 0.485 (multiplicity 8)
Ga: 0.112 0.500 0.391 (multiplicity 4)
Ga: 0.200 0.335 0.439 (multiplicity 8)
O: 0.000 0.154 0.596 (multiplicity 4)
O: 0.000 0.271 0.133 (multiplicity 4)
O: 0.000 0.500 0.220 (multiplicity 2)
O: 0.101 0.304 0.639 (multiplicity 8)
O: 0.103 0.000 0.659 (multiplicity 4)
O: 0.108 0.500 0.730 (multiplicity 4)
O: 0.113 0.089 0.150 (multiplicity 8)
O: 0.170 0.415 0.225 (multiplicity 8)
O: 0.207 0.140 0.661 (multiplicity 8)
O: 0.250 0.250 0.240 (multiplicity 4)

Largest 12 diffraction maxima, low angle first, 2θ = 10–90°:
2θ 16.50, I = 680; 2θ 26.73, I = 225; 2θ 29.47, I = 478; 2θ 31.56, I = 1000; 2θ 31.76, I = 817; 2θ 33.35, I = 294; 2θ 33.98, I = 158; 2θ 34.73, I = 227; 2θ 38.69, I = 213; 2θ 48.35, I = 186; 2θ 48.91, I = 387; 2θ 58.50, I = 163

Entry 4:
Structure and simulated XRD peak list of Ca2Ga2SiO7 (a crystal structure in the Materials Project, relaxed with PBE; Cu Kα).
Intensities are scaled so that the largest is 1000.

Structure:
Unit cell a=5.169 b=7.894 c=7.919 alpha=90.00 beta=90.12 gamma=90.00
Space group P2_1 (No. 4)
Asymmetric unit:
Ca: 0.014 0.000 0.102 (multiplicity 2)
Ca: 0.017 0.679 0.423 (multiplicity 2)
Ga: 0.465 0.479 0.607 (multiplicity 2)
Ga: 0.500 0.337 0.249 (multiplicity 2)
Si: 0.446 0.193 0.894 (multiplicity 2)
O: 0.187 0.975 0.385 (multiplicity 2)
O: 0.242 0.695 0.104 (multiplicity 2)
O: 0.281 0.673 0.669 (multiplicity 2)
O: 0.282 0.423 0.411 (multiplicity 2)
O: 0.302 0.242 0.076 (multiplicity 2)
O: 0.305 0.009 0.850 (multiplicity 2)
O: 0.307 0.325 0.758 (multiplicity 2)

Largest 12 diffraction maxima, low angle first, 2θ = 10–90°:
2θ 17.16, I = 289; 2θ 23.44, I = 273; 2θ 25.19, I = 127; 2θ 28.43, I = 301; 2θ 30.64, I = 1000; 2θ 32.02, I = 109; 2θ 34.71, I = 100; 2θ 35.92, I = 371; 2θ 36.56, I = 194; 2θ 50.72, I = 131; 2θ 50.84, I = 381; 2θ 59.71, I = 120

Entry 5:
Structure and simulated XRD peak list of Ca3TaGa3Si2O14 (a crystal structure in the Materials Project, relaxed with PBE; Cu Kα).
Intensities are scaled so that the largest is 1000.

Structure:
Unit cell a=8.2119 b=8.2119 c=5.0268 alpha=90.00 beta=90.00 gamma=120.00
Space group P321 (No. 150)
Asymmetric unit:
Ca: 0.0000 0.4222 0.0000 (multiplicity 3)
Ta: 0.0000 0.0000 0.0000 (multiplicity 1)
Ga: 0.0000 0.7432 0.5000 (multiplicity 3)
Si: 0.3333 0.6667 0.5504 (multiplicity 2)
O: 0.0863 0.2253 0.2348 (multiplicity 6)
O: 0.1545 0.6762 0.6905 (multiplicity 6)
O: 0.3333 0.6667 0.2299 (multiplicity 2)

Largest 12 diffraction maxima, low angle first, 2θ = 10–90°:
2θ 12.45, I = 1000; 2θ 21.65, I = 492; 2θ 28.06, I = 714; 2θ 30.80, I = 903; 2θ 37.96, I = 895; 2θ 44.12, I = 149; 2θ 49.66, I = 283; 2θ 53.11, I = 206; 2θ 59.58, I = 575; 2θ 65.66, I = 168; 2θ 77.04, I = 199; 2θ 82.52, I = 143